Record 1
# ZnCuTe2
Simulated powder diffractogram, CuKα. Input: DFT lattice parameters and positions (PBE).
Peak positions follow from Bragg's law for the DFT cell and can differ from measured ones.

Most intense lines, 2θ = 10–80°, in order of rising 2θ:
2θ/deg	d [Å]	I/Imax
22.1	4.026	16
24.4	3.644	19
25.5	3.488	100
32.3	2.768	17
42.3	2.138	30
42.4	2.134	33
44.3	2.045	22
44.4	2.041	17

Atomic structure:
a b c (Å): 8.539 8.539 12.092
angles (deg): 90.18 90.18 90.02
Atoms (fractional coordinates):
1 Zn 0.003 0.768 0.617
2 Zn 0.225 0.500 0.842
3 Zn 0.232 0.997 0.883
4 Zn 0.500 0.225 0.342
5 Zn 0.500 0.775 0.658
6 Zn 0.768 0.003 0.117
7 Zn 0.775 0.500 0.158
8 Zn 0.997 0.232 0.383
9 Cu 0.002 0.225 0.600
10 Cu 0.225 0.002 0.100
11 Cu 0.230 0.499 0.153
12 Cu 0.499 0.230 0.653
13 Cu 0.501 0.770 0.347
14 Cu 0.770 0.501 0.847
15 Cu 0.775 0.998 0.900
16 Cu 0.998 0.775 0.400
17 Te 0.008 0.992 0.250
18 Te 0.011 0.511 0.299
19 Te 0.170 0.277 0.008
20 Te 0.170 0.723 0.008
21 Te 0.277 0.170 0.508
22 Te 0.277 0.830 0.492
23 Te 0.489 0.989 0.201
24 Te 0.496 0.504 0.250
25 Te 0.504 0.496 0.750
26 Te 0.511 0.011 0.799
27 Te 0.723 0.170 0.508
28 Te 0.723 0.830 0.492
29 Te 0.830 0.277 0.992
30 Te 0.830 0.723 0.992
31 Te 0.989 0.489 0.701
32 Te 0.992 0.008 0.750


Record 2
# ZrCuTe2
Simulated powder diffractogram, CuKα. Input: DFT lattice parameters and positions (PBE).
Peak positions follow from Bragg's law for the DFT cell and can differ from measured ones.

Most intense lines, 2θ = 10–80°, in order of rising 2θ:
2θ/deg	d [Å]	I/Imax
27.0	3.297	27
29.8	3.002	34
32.1	2.785	38
33.2	2.695	100
39.6	2.275	56
46.0	1.972	23
46.9	1.939	22
50.3	1.813	18

Atomic structure:
a b c (Å): 3.944 6.309 6.309
angles (deg): 35.79 90.00 90.00
Atoms (fractional coordinates):
1 Zr 0.000 0.000 0.000
2 Cu 0.500 0.177 0.177
3 Te 0.000 0.683 0.683
4 Te 0.500 0.404 0.404


Record 3
# ZrCuTe
Simulated powder diffractogram, CuKα. Input: DFT lattice parameters and positions (PBE).
Peak positions follow from Bragg's law for the DFT cell and can differ from measured ones.

Most intense lines, 2θ = 10–80°, in order of rising 2θ:
2θ/deg	d [Å]	I/Imax
24.4	3.650	30
24.9	3.569	36
27.1	3.292	44
32.3	2.771	89
41.7	2.167	89
42.6	2.124	100
61.1	1.517	28
72.9	1.297	28

Atomic structure:
a b c (Å): 10.134 10.134 10.134
angles (deg): 24.19 24.19 24.19
Atoms (fractional coordinates):
1 Zr 0.053 0.053 0.053
2 Zr 0.947 0.947 0.947
3 Cu 0.327 0.327 0.327
4 Cu 0.673 0.673 0.673
5 Te 0.228 0.228 0.228
6 Te 0.772 0.772 0.772


Record 4
# Th3Cu8
Simulated powder diffractogram, CuKα. Input: DFT lattice parameters and positions (PBE).
Peak positions follow from Bragg's law for the DFT cell and can differ from measured ones.

Most intense lines, 2θ = 10–80°, in order of rising 2θ:
2θ/deg	d [Å]	I/Imax
23.5	3.791	30
32.9	2.723	24
34.3	2.616	56
35.1	2.558	100
37.9	2.375	23
42.8	2.111	32
44.1	2.053	29
56.0	1.643	28

Atomic structure:
a b c (Å): 13.225 13.225 13.225
angles (deg): 163.89 161.63 24.53
Atoms (fractional coordinates):
1 Th 0.000 0.000 0.000
2 Th 0.351 0.851 0.500
3 Th 0.649 0.149 0.500
4 Cu 0.098 0.598 0.500
5 Cu 0.193 0.693 0.500
6 Cu 0.254 0.254 0.000
7 Cu 0.452 0.452 0.000
8 Cu 0.548 0.548 0.000
9 Cu 0.746 0.746 0.000
10 Cu 0.807 0.307 0.500
11 Cu 0.902 0.402 0.500